Computed powder XRD pattern of LaTbTmZn for Cu Kα (λ = 1.5418 Å), from DFT lattice parameters and positions (PBE).
Peak positions follow from Bragg's law for the DFT cell and can differ from measured ones.

```
LaTbTmZn
1.0
3.5870 0.0000 0.0000
0.0000 3.5870 0.0000
0.0000 0.0000 8.8185
La Tb Tm Zn
1 1 1 1
Cartesian
0.0000 0.0000 0.0000
1.7935 1.7935 6.1185
1.7935 1.7935 2.6447
0.0000 0.0000 4.3204
```

Most intense lines, 5 to 70 degrees two-theta, by angle:
26.83°, I = 21.8, hkl 1 0 1; 30.41°, I = 15.5, hkl 0 0 3; 32.17°, I = 100.0, hkl 1 0 2; 35.39°, I = 51.3, hkl 1 1 0; 39.64°, I = 11.6, hkl 1 0 3; 47.34°, I = 18.4, hkl 1 1 3; 50.91°, I = 18.2, hkl 2 0 0; 58.30°, I = 13.2, hkl 1 0 5; 60.47°, I = 8.9, hkl 2 0 3; 61.51°, I = 30.9, hkl 2 1 2